# 1
Starting from a cell relaxed with PBE+U, the PXRD pattern of Fe15O16 was calculated for Cu Kα (λ = 1.5418 Å).
Kinematic intensities with the Lorentz-polarization factor, no thermal factor.

Largest 10 diffraction maxima, in order of rising 2θ, 2θ = 10–90°:
2theta, d [Å], intensity
35.1, 2.554, 100
35.2, 2.547, 42
35.4, 2.539, 42
40.5, 2.227, 98
40.8, 2.212, 95
41.4, 2.182, 96
58.7, 1.572, 30
59.0, 1.567, 30
59.3, 1.559, 92
59.7, 1.549, 35

Structure:
abc: 6.2666 6.2882 8.7295
angles: 90.20 90.31 90.37
Positions (direct):
Fe (0.0000, 0.0000, 0.0000)
Fe (0.9999, 0.0051, 0.4981)
Fe (0.0038, 0.4922, 0.5041)
Fe (0.2381, 0.8191, 0.7415)
Fe (0.2469, 0.7436, 0.2477)
Fe (0.2526, 0.2566, 0.2457)
Fe (0.2809, 0.4610, 0.8766)
Fe (0.4888, 0.4921, 0.5059)
Fe (0.4939, 0.0052, 0.4977)
Fe (0.5053, 0.9936, 0.0018)
Fe (0.7382, 0.7452, 0.2545)
Fe (0.7405, 0.2459, 0.2525)
Fe (0.7470, 0.7478, 0.7497)
Fe (0.7521, 0.2416, 0.7542)
Fe (0.9243, 0.5061, 0.0160)
O (0.2295, 0.2481, 0.4819)
O (0.2471, 0.7361, 0.9813)
O (0.2466, 0.7496, 0.5140)
O (0.2567, 0.2161, 0.0072)
O (0.4954, 0.5194, 0.2708)
O (0.4948, 0.9957, 0.2571)
O (0.5207, 0.9750, 0.7410)
O (0.5294, 0.4939, 0.7455)
O (0.7466, 0.2474, 0.4949)
O (0.7507, 0.7739, 0.9855)
O (0.7553, 0.2375, 0.0107)
O (0.7687, 0.7398, 0.5165)
O (0.9639, 0.9880, 0.7493)
O (0.9939, 0.4972, 0.2422)
O (0.9947, 0.5087, 0.7694)
O (0.9953, 0.9691, 0.2487)


# 2
Starting from a cell relaxed with PBE+U, the PXRD pattern of FeO was calculated for Cu Kα (λ = 1.5418 Å).
Kinematic intensities with the Lorentz-polarization factor, no thermal factor.

Largest 8 diffraction maxima, in order of rising 2θ, 2θ = 10–90°:
2theta, d [Å], intensity
33.8, 2.649, 100
38.0, 2.370, 9
48.6, 1.873, 93
60.5, 1.530, 27
63.3, 1.469, 1
71.2, 1.324, 26
73.7, 1.285, 1
81.2, 1.184, 29

Structure:
abc: 5.2996 5.2996 10.5877
angles: 90.00 90.00 120.00
Positions (direct):
Fe (0.0059, 0.3335, 0.1249)
Fe (0.0059, 0.3335, 0.3751)
Fe (0.3275, 0.9941, 0.1249)
Fe (0.3275, 0.9941, 0.3751)
Fe (0.3335, 0.0059, 0.6249)
Fe (0.3335, 0.0059, 0.8751)
Fe (0.6665, 0.6725, 0.1249)
Fe (0.6665, 0.6725, 0.3751)
Fe (0.6725, 0.6665, 0.6249)
Fe (0.6725, 0.6665, 0.8751)
Fe (0.9941, 0.3275, 0.6249)
Fe (0.9941, 0.3275, 0.8751)
O (0.0000, 0.0000, 0.0000)
O (0.0000, 0.0000, 0.5000)
O (0.0128, 0.6775, 0.2500)
O (0.3225, 0.3353, 0.2500)
O (0.3333, 0.6667, 0.5150)
O (0.3333, 0.6667, 0.9850)
O (0.3353, 0.3225, 0.7500)
O (0.6647, 0.9872, 0.2500)
O (0.6667, 0.3333, 0.0150)
O (0.6667, 0.3333, 0.4850)
O (0.6775, 0.0128, 0.7500)
O (0.9872, 0.6647, 0.7500)


# 3
Starting from a cell relaxed with PBE+U, the PXRD pattern of Fe3O4 was calculated for Cu Kα (λ = 1.5418 Å).
Kinematic intensities with the Lorentz-polarization factor, no thermal factor.

Largest 10 diffraction maxima, in order of rising 2θ, 2θ = 10–90°:
2theta, d [Å], intensity
29.4, 3.041, 60
34.5, 2.600, 87
34.6, 2.591, 85
34.8, 2.576, 89
42.2, 2.141, 36
55.3, 1.661, 24
55.6, 1.652, 22
55.9, 1.645, 32
60.9, 1.521, 100
61.6, 1.505, 19

Structure:
abc: 6.0812 6.0812 6.0812
angles: 120.65 119.93 89.50
Positions (direct):
Fe (0.0000, 0.0000, 0.0000)
Fe (0.0000, 0.0000, 0.5000)
Fe (0.0000, 0.5000, 0.0000)
Fe (0.3810, 0.6310, 0.7500)
Fe (0.5000, 0.0000, 0.5000)
Fe (0.6190, 0.3690, 0.2500)
O (0.2333, 0.2373, 0.9960)
O (0.2509, 0.2349, 0.4840)
O (0.2509, 0.7669, 0.0160)
O (0.2587, 0.7627, 0.4960)
O (0.7413, 0.2373, 0.5040)
O (0.7491, 0.2331, 0.9840)
O (0.7491, 0.7651, 0.5160)
O (0.7667, 0.7627, 0.0040)